La5Pr5Dy: computed powder X-ray diffraction pattern (λ = 1.5418 Å (Cu Kα)), based on a structure optimized by DFT (GGA-PBE).
No peak broadening, texture or thermal motion is included.

Top 10 peaks for 10° ≤ 2θ ≤ 80°, low angle first:
2θ 26.95, I 21, (4 0 -2)
2θ 28.51, I 26, (5 1 0)
2θ 28.62, I 100, (0 2 0)
2θ 29.61, I 61, (6 0 0)
2θ 32.14, I 91, (1 1 2)
2θ 32.66, I 80, (5 1 -2)
2θ 41.65, I 48, (6 2 0)
2θ 50.95, I 22, (4 0 -4)
2θ 52.96, I 22, (1 3 2)
2θ 59.45, I 34, (4 2 -4)

Cell and atoms:
a b c (Å): 19.323 6.238 7.172
angles (deg): 90.00 110.50 90.00
Space group C2/m (No. 12)
Unique sites:
La: 0.000 0.000 0.000 x2
La: 0.173 0.500 0.928 x4
La: 0.174 0.500 0.414 x4
Pr: 0.000 0.500 0.500 x2
Pr: 0.126 0.000 0.635 x4
Pr: 0.169 0.000 0.178 x4
Dy: 0.000 0.500 0.000 x2

Cu2SiAu8: computed powder X-ray diffraction pattern (λ = 1.5418 Å (Cu Kα)), based on a structure optimized by DFT (GGA-PBE).
No peak broadening, texture or thermal motion is included.

Top 10 peaks for 10° ≤ 2θ ≤ 80°, low angle first:
2θ 26.42, I 23, (1 3 0)
2θ 28.92, I 28, (2 2 -1)
2θ 33.61, I 25, (2 0 -2)
2θ 35.13, I 54, (1 1 -2)
2θ 38.10, I 36, (2 4 -1)
2θ 39.28, I 40, (1 5 -1)
2θ 39.66, I 100, (1 3 1)
2θ 39.85, I 41, (3 1 -1)
2θ 42.71, I 22, (0 6 0)
2θ 44.36, I 27, (2 4 -2)

Cell and atoms:
a b c (Å): 7.074 12.703 5.433
angles (deg): 90.00 127.90 90.00
Space group Cm (No. 8)
Unique sites:
Cu: 0.000 0.191 0.000 x4
Si: 0.433 0.000 0.180 x2
Au: 0.150 0.000 0.311 x2
Au: 0.227 0.138 0.771 x4
Au: 0.242 0.373 0.166 x4
Au: 0.345 0.500 0.672 x2
Au: 0.490 0.172 0.495 x4

Pm2Ho3Cd2: computed powder X-ray diffraction pattern (λ = 1.5418 Å (Cu Kα)), based on a structure optimized by DFT (GGA-PBE).
No peak broadening, texture or thermal motion is included.

Top 10 peaks for 10° ≤ 2θ ≤ 80°, low angle first:
2θ 30.15, I 31, (0 6 1)
2θ 31.49, I 100, (1 7 0)
2θ 33.48, I 65, (0 8 1)
2θ 35.97, I 72, (1 1 1)
2θ 38.22, I 22, (0 14 0)
2θ 51.29, I 20, (2 0 0)
2θ 51.96, I 13, (0 0 2)
2θ 55.64, I 35, (1 15 1)
2θ 62.03, I 28, (1 7 2)
2θ 62.65, I 21, (2 8 1)

Cell and atoms:
a b c (Å): 3.563 32.968 3.520
angles (deg): 90.00 90.00 90.00
Space group Cmmm (No. 65)
Unique sites:
Pm: 0.000 0.203 0.000 x4
Ho: 0.000 0.074 0.000 x4
Ho: 0.000 0.500 0.500 x2
Cd: 0.000 0.364 0.500 x4

SmTm4Th: computed powder X-ray diffraction pattern (λ = 1.5418 Å (Cu Kα)), based on a structure optimized by DFT (GGA-PBE).
No peak broadening, texture or thermal motion is included.

Top 10 peaks for 10° ≤ 2θ ≤ 80°, low angle first:
2θ 31.07, I 100, (1 1 0)
2θ 35.87, I 17, (2 0 0)
2θ 36.10, I 34, (0 1 3)
2θ 51.81, I 24, (2 1 3)
2θ 51.98, I 12, (0 2 0)
2θ 61.49, I 15, (3 1 0)
2θ 61.80, I 29, (1 2 3)
2θ 64.77, I 12, (2 2 0)
2θ 76.03, I 2, (4 0 0)
2θ 76.59, I 4, (0 2 6)

Cell and atoms:
a b c (Å): 5.007 3.519 10.555
angles (deg): 90.00 90.05 90.00
Space group P2/m (No. 10)
Unique sites:
Sm: 0.000 0.000 0.000 x1
Tm: 0.001 0.000 0.335 x2
Tm: 0.500 0.500 0.169 x2
Th: 0.500 0.500 0.500 x1

CdBr3: computed powder X-ray diffraction pattern (λ = 1.5418 Å (Cu Kα)), based on a structure optimized by DFT (GGA-PBE).
No peak broadening, texture or thermal motion is included.

Top 10 peaks for 10° ≤ 2θ ≤ 80°, low angle first:
2θ 18.27, I 15, (1 0 -1)
2θ 27.85, I 100, (0 1 1)
2θ 32.27, I 39, (2 0 -1)
2θ 35.81, I 16, (0 0 2)
2θ 38.14, I 18, (1 1 1)
2θ 43.14, I 59, (2 1 0)
2θ 43.46, I 17, (0 2 0)
2θ 48.96, I 13, (2 0 1)
2θ 55.15, I 16, (2 2 -1)
2θ 67.52, I 15, (4 0 -2)

Cell and atoms:
a b c (Å): 5.548 4.164 5.728
angles (deg): 90.00 118.88 90.00
Space group P2/m (No. 10)
Unique sites:
Cd: 0.000 0.000 0.000 x1
Br: 0.206 0.500 0.411 x2
Br: 0.500 0.000 0.000 x1

AcPr3NdTm: computed powder X-ray diffraction pattern (λ = 1.5418 Å (Cu Kα)), based on a structure optimized by DFT (GGA-PBE).
No peak broadening, texture or thermal motion is included.

Top 10 peaks for 10° ≤ 2θ ≤ 80°, low angle first:
2θ 28.68, I 56, (5 1 -1)
2θ 28.97, I 70, (5 1 1)
2θ 29.47, I 54, (1 1 -2)
2θ 30.01, I 32, (4 0 -2)
2θ 30.17, I 100, (0 2 0)
2θ 31.76, I 47, (3 1 -2)
2θ 32.07, I 85, (3 1 2)
2θ 33.34, I 67, (7 1 0)
2θ 43.08, I 25, (4 2 -2)
2θ 54.80, I 19, (3 3 2)

Cell and atoms:
a b c (Å): 21.109 5.924 7.139
angles (deg): 90.00 90.86 90.00
Space group C2/m (No. 12)
Unique sites:
Ac: 0.147 0.000 0.044 x4
Pr: 0.017 0.000 0.747 x4
Pr: 0.157 0.500 0.758 x4
Pr: 0.220 0.500 0.283 x4
Nd: 0.140 0.000 0.498 x4
Tm: 0.060 0.500 0.304 x4

TcMoAs2: computed powder X-ray diffraction pattern (λ = 1.5418 Å (Cu Kα)), based on a structure optimized by DFT (GGA-PBE).
No peak broadening, texture or thermal motion is included.

Top 7 peaks for 10° ≤ 2θ ≤ 80°, low angle first:
2θ 28.81, I 2, (1 1 0)
2θ 41.19, I 100, (2 0 0)
2θ 51.04, I 1, (2 0 1)
2θ 59.61, I 11, (2 2 0)
2θ 59.78, I 5, (0 0 2)
2θ 75.04, I 22, (3 1 1)
2θ 75.15, I 11, (2 0 2)

Cell and atoms:
a b c (Å): 4.387 4.387 3.094
angles (deg): 90.00 90.00 90.00
Space group P4/mmm (No. 123)
Unique sites:
Tc: 0.000 0.000 0.000 x1
Mo: 0.500 0.500 0.000 x1
As: 0.000 0.500 0.500 x2

Ce4Ta6O19: computed powder X-ray diffraction pattern (λ = 1.5418 Å (Cu Kα)), based on a structure optimized by DFT (GGA-PBE).
No peak broadening, texture or thermal motion is included.

Top 10 peaks for 10° ≤ 2θ ≤ 80°, low angle first:
2θ 13.87, I 20, (1 1 0)
2θ 19.66, I 20, (2 0 0)
2θ 24.14, I 37, (2 1 1)
2θ 31.33, I 100, (3 0 1)
2θ 37.26, I 67, (3 1 2)
2θ 42.48, I 13, (3 3 0)
2θ 49.45, I 20, (4 2 2)
2θ 51.62, I 52, (4 3 1)
2θ 61.63, I 32, (6 0 0)
2θ 70.77, I 17, (6 1 3)

Cell and atoms:
a b c (Å): 9.029 9.029 9.029
angles (deg): 90.00 90.00 90.00
Space group I23 (No. 197)
Unique sites:
Ce: 0.154 0.154 0.154 x8
Ta: 0.000 0.153 0.500 x12
O: 0.000 0.000 0.000 x2
O: 0.000 0.000 0.328 x12
O: 0.041 0.287 0.686 x24

LiMg2AgAu: computed powder X-ray diffraction pattern (λ = 1.5418 Å (Cu Kα)), based on a structure optimized by DFT (GGA-PBE).
No peak broadening, texture or thermal motion is included.

Top 10 peaks for 10° ≤ 2θ ≤ 80°, low angle first:
2θ 22.99, I 100, (0 1 1)
2θ 23.71, I 32, (1 0 1)
2θ 25.61, I 23, (1 1 0)
2θ 26.10, I 41, (1 0 -2)
2θ 26.38, I 22, (1 1 -1)
2θ 38.20, I 58, (2 1 -1)
2θ 38.96, I 38, (0 2 0)
2θ 39.31, I 25, (2 1 0)
2θ 39.60, I 66, (1 1 2)
2θ 42.16, I 36, (1 1 -3)

Cell and atoms:
a b c (Å): 5.500 4.624 7.363
angles (deg): 90.00 106.36 90.00
Space group P2_1/m (No. 11)
Unique sites:
Li: 0.143 0.250 0.029 x2
Mg: 0.064 0.750 0.388 x2
Mg: 0.485 0.750 0.174 x2
Ag: 0.369 0.250 0.406 x2
Au: 0.211 0.750 0.791 x2

CsMg2Tl4In: computed powder X-ray diffraction pattern (λ = 1.5418 Å (Cu Kα)), based on a structure optimized by DFT (GGA-PBE).
No peak broadening, texture or thermal motion is included.

Top 10 peaks for 10° ≤ 2θ ≤ 80°, low angle first:
2θ 20.13, I 43, (0 1 2)
2θ 22.09, I 35, (1 0 4)
2θ 26.77, I 33, (1 0 7)
2θ 28.66, I 46, (0 1 8)
2θ 32.80, I 42, (1 0 10)
2θ 34.01, I 100, (1 1 0)
2θ 34.99, I 41, (0 1 11)
2θ 49.65, I 28, (0 1 17)
2θ 53.22, I 16, (1 1 15)
2θ 60.86, I 19, (3 0 0)

Cell and atoms:
a b c (Å): 5.2726 5.2726 34.0711
angles (deg): 90.00 90.00 120.00
Space group R-3m (No. 166, hexagonal axes)
Unique sites:
Cs: 0.0000 0.0000 0.0000 x3
Mg: 0.0000 0.0000 0.2175 x6
Tl: 0.0000 0.0000 0.1223 x6
Tl: 0.0000 0.0000 0.4085 x6
In: 0.0000 0.0000 0.5000 x3

SbTeCl3: computed powder X-ray diffraction pattern (λ = 1.5418 Å (Cu Kα)), based on a structure optimized by DFT (GGA-PBE).
No peak broadening, texture or thermal motion is included.

Top 10 peaks for 10° ≤ 2θ ≤ 80°, low angle first:
2θ 12.34, I 18, (1 0 0)
2θ 17.50, I 100, (1 1 0)
2θ 22.05, I 20, (1 1 1)
2θ 24.92, I 25, (2 0 0)
2θ 27.75, I 63, (0 1 2)
2θ 29.59, I 16, (1 1 -2)
2θ 36.93, I 17, (2 2 -1)
2θ 38.34, I 19, (2 2 1)
2θ 40.64, I 17, (1 0 3)
2θ 42.06, I 18, (1 3 1)

Cell and atoms:
a b c (Å): 7.170 7.179 7.225
angles (deg): 90.00 94.77 90.00
Space group P2_1 (No. 4)
Unique sites:
Sb: 0.229 0.000 0.472 x2
Te: 0.229 0.186 0.111 x2
Cl: 0.080 0.374 0.624 x2
Cl: 0.151 0.854 0.844 x2
Cl: 0.399 0.729 0.365 x2